Structure and theoretical powder diffraction line list of Cs2HgAsCl6 (a structure optimized by DFT (PBE); Cu Kα (weighted mean of Kα1 and Kα2)).
Lines closer than 0.1° are merged.

Atomic structure:
Lattice parameters (Å, degrees): 7.593 7.593 7.593 60.00 60.00 60.00
Sites, in units of the cell vectors:
Cs (0.250, 0.250, 0.250)
Cs (0.750, 0.750, 0.750)
Hg (0.000, 0.000, 0.000)
As (0.500, 0.500, 0.500)
Cl (0.266, 0.266, 0.734)
Cl (0.266, 0.734, 0.266)
Cl (0.266, 0.734, 0.734)
Cl (0.734, 0.266, 0.266)
Cl (0.734, 0.266, 0.734)
Cl (0.734, 0.734, 0.266)

Principal peaks in the range 2θ from 10° to 90°, by intensity:
2θ (°)	d_spacing	I (rel.)
23.43	3.797	100
33.38	2.685	53
41.18	2.192	46
47.92	1.898	36
64.99	1.435	26
54.01	1.698	22
79.90	1.201	15
75.06	1.266	12
59.65	1.550	12
89.40	1.096	12


Structure and theoretical powder diffraction line list of CuAsCl7 (a structure optimized by DFT (PBE); Cu Kα (weighted mean of Kα1 and Kα2)).
Lines closer than 0.1° are merged.

Atomic structure:
Lattice parameters (Å, degrees): 8.772 8.772 8.772 121.81 82.01 127.73
Sites, in units of the cell vectors:
Cu (0.500, 0.000, 0.000)
Cu (0.500, 0.500, 0.500)
As (0.000, 0.000, 0.000)
As (0.500, 0.000, 0.500)
Cl (0.139, 0.209, 0.318)
Cl (0.139, 0.821, 0.930)
Cl (0.194, 0.713, 0.481)
Cl (0.267, 0.287, 0.981)
Cl (0.385, 0.635, 0.750)
Cl (0.390, 0.209, 0.570)
Cl (0.390, 0.821, 0.182)
Cl (0.610, 0.179, 0.818)
Cl (0.610, 0.791, 0.430)
Cl (0.615, 0.365, 0.250)
Cl (0.733, 0.713, 0.019)
Cl (0.806, 0.287, 0.519)
Cl (0.861, 0.179, 0.070)
Cl (0.861, 0.791, 0.682)

Principal peaks in the range 2θ from 10° to 90°, by intensity:
2θ (°)	d_spacing	I (rel.)
13.27	6.674	100
24.82	3.587	93
20.51	4.331	56
15.47	5.727	55
34.29	2.615	47
55.56	1.654	46
41.71	2.166	42
23.21	3.832	36
36.44	2.466	34
35.72	2.514	33


Structure and theoretical powder diffraction line list of Cu2As4S3Cl2 (a structure optimized by DFT (PBE); Cu Kα (weighted mean of Kα1 and Kα2)).
Lines closer than 0.1° are merged.

Atomic structure:
Lattice parameters (Å, degrees): 6.241 7.019 11.879 90.00 103.04 90.00
Sites, in units of the cell vectors:
Cu (0.059, 0.029, 0.192)
Cu (0.059, 0.471, 0.192)
Cu (0.941, 0.529, 0.808)
Cu (0.941, 0.971, 0.808)
As (0.235, 0.071, 0.603)
As (0.235, 0.429, 0.603)
As (0.425, 0.750, 0.408)
As (0.484, 0.250, 0.895)
As (0.516, 0.750, 0.105)
As (0.575, 0.250, 0.592)
As (0.765, 0.571, 0.397)
As (0.765, 0.929, 0.397)
S (0.244, 0.750, 0.215)
S (0.299, 0.501, 0.796)
S (0.299, 0.999, 0.796)
S (0.701, 0.001, 0.204)
S (0.701, 0.499, 0.204)
S (0.756, 0.250, 0.785)
Cl (0.111, 0.250, 0.056)
Cl (0.206, 0.250, 0.358)
Cl (0.794, 0.750, 0.642)
Cl (0.889, 0.750, 0.944)

Principal peaks in the range 2θ from 10° to 90°, by intensity:
2θ (°)	d_spacing	I (rel.)
19.53	4.545	100
14.76	6.001	94
29.38	3.040	86
28.63	3.118	84
32.76	2.734	66
23.49	3.787	65
35.48	2.530	62
38.91	2.315	61
51.69	1.768	53
26.36	3.381	49


Structure and theoretical powder diffraction line list of Rb2FeAsCl6 (a structure optimized by DFT (PBE); Cu Kα (weighted mean of Kα1 and Kα2)).
Lines closer than 0.1° are merged.

Atomic structure:
Lattice parameters (Å, degrees): 7.178 7.178 7.178 60.00 60.00 60.00
Sites, in units of the cell vectors:
Rb (0.250, 0.250, 0.250)
Rb (0.750, 0.750, 0.750)
Fe (0.000, 0.000, 0.000)
As (0.500, 0.500, 0.500)
Cl (0.242, 0.242, 0.758)
Cl (0.242, 0.758, 0.242)
Cl (0.242, 0.758, 0.758)
Cl (0.758, 0.242, 0.242)
Cl (0.758, 0.242, 0.758)
Cl (0.758, 0.758, 0.242)

Principal peaks in the range 2θ from 10° to 90°, by intensity:
2θ (°)	d_spacing	I (rel.)
24.81	3.589	100
35.37	2.538	96
50.88	1.795	62
30.50	2.931	45
43.68	2.072	44
85.57	1.135	27
69.26	1.357	23
63.49	1.465	20
57.41	1.605	20
60.49	1.530	15


Structure and theoretical powder diffraction line list of Hg3AsClO4 (a structure optimized by DFT (PBE); Cu Kα (weighted mean of Kα1 and Kα2)).
Lines closer than 0.1° are merged.

Atomic structure:
Lattice parameters (Å, degrees): 8.483 8.483 8.483 90.00 90.00 90.00
Sites, in units of the cell vectors:
Hg (0.049, 0.400, 0.350)
Hg (0.100, 0.650, 0.549)
Hg (0.150, 0.951, 0.900)
Hg (0.350, 0.049, 0.400)
Hg (0.400, 0.350, 0.049)
Hg (0.451, 0.600, 0.850)
Hg (0.549, 0.100, 0.650)
Hg (0.600, 0.850, 0.451)
Hg (0.650, 0.549, 0.100)
Hg (0.850, 0.451, 0.600)
Hg (0.900, 0.150, 0.951)
Hg (0.951, 0.900, 0.150)
As (0.022, 0.522, 0.978)
As (0.478, 0.478, 0.478)
As (0.522, 0.978, 0.022)
As (0.978, 0.022, 0.522)
Cl (0.235, 0.765, 0.265)
Cl (0.265, 0.235, 0.765)
Cl (0.735, 0.735, 0.735)
Cl (0.765, 0.265, 0.235)
O (0.096, 0.128, 0.392)
O (0.108, 0.904, 0.628)
O (0.128, 0.392, 0.096)
O (0.137, 0.637, 0.863)
O (0.363, 0.363, 0.363)
O (0.372, 0.608, 0.596)
O (0.392, 0.096, 0.128)
O (0.404, 0.872, 0.892)
O (0.596, 0.372, 0.608)
O (0.608, 0.596, 0.372)
O (0.628, 0.108, 0.904)
O (0.637, 0.863, 0.137)
O (0.863, 0.137, 0.637)
O (0.872, 0.892, 0.404)
O (0.892, 0.404, 0.872)
O (0.904, 0.628, 0.108)

Principal peaks in the range 2θ from 10° to 90°, by intensity:
2θ (°)	d_spacing	I (rel.)
31.64	2.828	100
35.08	2.558	93
18.11	4.898	75
33.40	2.683	71
25.72	3.463	67
23.45	3.794	56
20.94	4.242	55
49.22	1.851	50
44.01	2.057	50
55.21	1.664	41


Structure and theoretical powder diffraction line list of TlHg3As2Cl3 (a structure optimized by DFT (PBE); Cu Kα (weighted mean of Kα1 and Kα2)).
Lines closer than 0.1° are merged.

Atomic structure:
Lattice parameters (Å, degrees): 6.338 12.627 12.559 90.00 90.00 90.00
Sites, in units of the cell vectors:
Tl (0.012, 0.247, 0.250)
Tl (0.012, 0.253, 0.750)
Tl (0.988, 0.747, 0.250)
Tl (0.988, 0.753, 0.750)
Hg (0.000, 0.000, 0.000)
Hg (0.000, 0.000, 0.500)
Hg (0.000, 0.500, 0.000)
Hg (0.000, 0.500, 0.500)
Hg (0.455, 0.019, 0.750)
Hg (0.455, 0.481, 0.250)
Hg (0.461, 0.250, 0.000)
Hg (0.461, 0.250, 0.500)
Hg (0.539, 0.750, 0.000)
Hg (0.539, 0.750, 0.500)
Hg (0.545, 0.519, 0.750)
Hg (0.545, 0.981, 0.250)
As (0.379, 0.056, 0.551)
As (0.379, 0.056, 0.949)
As (0.379, 0.444, 0.051)
As (0.379, 0.444, 0.449)
As (0.621, 0.556, 0.551)
As (0.621, 0.556, 0.949)
As (0.621, 0.944, 0.051)
As (0.621, 0.944, 0.449)
Cl (0.094, 0.750, 0.000)
Cl (0.094, 0.750, 0.500)
Cl (0.099, 0.504, 0.750)
Cl (0.099, 0.996, 0.250)
Cl (0.460, 0.706, 0.250)
Cl (0.460, 0.794, 0.750)
Cl (0.540, 0.206, 0.250)
Cl (0.540, 0.294, 0.750)
Cl (0.901, 0.004, 0.750)
Cl (0.901, 0.496, 0.250)
Cl (0.906, 0.250, 0.000)
Cl (0.906, 0.250, 0.500)

Principal peaks in the range 2θ from 10° to 90°, by intensity:
2θ (°)	d_spacing	I (rel.)
24.43	3.643	100
40.49	2.228	50
28.43	3.140	42
28.27	3.157	37
28.16	3.169	31
47.79	1.903	24
47.65	1.909	24
47.99	1.896	24
50.08	1.822	23
40.33	2.236	21


Structure and theoretical powder diffraction line list of PrNdAsCl (a structure optimized by DFT (PBE); Cu Kα (weighted mean of Kα1 and Kα2)).
Lines closer than 0.1° are merged.

Atomic structure:
Lattice parameters (Å, degrees): 4.182 4.182 14.423 90.00 90.00 120.00
Sites, in units of the cell vectors:
Pr (0.000, 0.000, 0.141)
Pr (0.000, 0.000, 0.859)
Nd (0.667, 0.333, 0.361)
Nd (0.667, 0.333, 0.639)
As (0.333, 0.667, 0.253)
As (0.333, 0.667, 0.747)
Cl (0.000, 0.000, 0.500)
Cl (0.667, 0.333, 0.000)

Principal peaks in the range 2θ from 10° to 90°, by intensity:
2θ (°)	d_spacing	I (rel.)
30.91	2.893	100
43.27	2.091	51
35.12	2.555	43
25.35	3.513	42
12.27	7.211	20
54.12	1.695	20
50.99	1.791	19
71.68	1.317	17
45.28	2.003	16
68.75	1.365	16


Structure and theoretical powder diffraction line list of Sm3As3Cl2O8 (a structure optimized by DFT (PBE); Cu Kα (weighted mean of Kα1 and Kα2)).
Lines closer than 0.1° are merged.

Atomic structure:
Lattice parameters (Å, degrees): 5.437 8.321 11.154 89.91 85.47 89.39
Sites, in units of the cell vectors:
Sm (0.231, 0.338, 0.132)
Sm (0.237, 0.997, 0.373)
Sm (0.256, 0.007, 0.870)
Sm (0.744, 0.993, 0.130)
Sm (0.763, 0.003, 0.627)
Sm (0.769, 0.662, 0.868)
As (0.223, 0.741, 0.091)
As (0.311, 0.706, 0.657)
As (0.315, 0.277, 0.589)
As (0.685, 0.723, 0.411)
As (0.689, 0.294, 0.343)
As (0.777, 0.259, 0.909)
Cl (0.195, 0.516, 0.342)
Cl (0.270, 0.492, 0.888)
Cl (0.730, 0.508, 0.112)
Cl (0.805, 0.484, 0.658)
O (0.002, 0.816, 0.985)
O (0.053, 0.821, 0.724)
O (0.082, 0.152, 0.539)
O (0.137, 0.906, 0.187)
O (0.411, 0.152, 0.707)
O (0.437, 0.833, 0.526)
O (0.480, 0.190, 0.245)
O (0.489, 0.829, 0.007)
O (0.511, 0.171, 0.993)
O (0.520, 0.810, 0.755)
O (0.563, 0.167, 0.474)
O (0.589, 0.848, 0.293)
O (0.863, 0.094, 0.813)
O (0.918, 0.848, 0.461)
O (0.947, 0.179, 0.276)
O (0.998, 0.184, 0.015)

Principal peaks in the range 2θ from 10° to 90°, by intensity:
2θ (°)	d_spacing	I (rel.)
32.22	2.778	100
30.70	2.912	96
32.09	2.789	94
10.63	8.320	90
32.31	2.770	81
30.97	2.888	75
33.05	2.710	70
46.25	1.963	54
24.56	3.625	51
24.39	3.649	41


Structure and theoretical powder diffraction line list of Co7As (a structure optimized by DFT (PBE); Cu Kα (weighted mean of Kα1 and Kα2)).
Lines closer than 0.1° are merged.

Atomic structure:
Lattice parameters (Å, degrees): 2.534 3.464 33.007 90.00 90.00 90.00
Sites, in units of the cell vectors:
Co (0.250, 0.250, 0.019)
Co (0.250, 0.250, 0.094)
Co (0.250, 0.250, 0.168)
Co (0.250, 0.250, 0.243)
Co (0.250, 0.250, 0.795)
Co (0.250, 0.250, 0.869)
Co (0.250, 0.250, 0.944)
Co (0.750, 0.750, 0.056)
Co (0.750, 0.750, 0.131)
Co (0.750, 0.750, 0.205)
Co (0.750, 0.750, 0.757)
Co (0.750, 0.750, 0.832)
Co (0.750, 0.750, 0.906)
Co (0.750, 0.750, 0.981)
As (0.250, 0.250, 0.719)
As (0.750, 0.750, 0.281)

Principal peaks in the range 2θ from 10° to 90°, by intensity:
2θ (°)	d_spacing	I (rel.)
44.26	2.046	100
50.92	1.793	30
46.60	1.949	27
44.38	2.041	25
52.89	1.731	23
10.72	8.252	19
53.06	1.726	18
76.46	1.246	17
78.19	1.223	14
74.99	1.267	7


Structure and theoretical powder diffraction line list of Co15As (a structure optimized by DFT (PBE); Cu Kα (weighted mean of Kα1 and Kα2)).
Lines closer than 0.1° are merged.

Atomic structure:
Lattice parameters (Å, degrees): 3.491 3.491 41.227 90.00 90.00 90.00
Sites, in units of the cell vectors:
Co (0.250, 0.000, 0.021)
Co (0.250, 0.000, 0.106)
Co (0.250, 0.000, 0.191)
Co (0.250, 0.000, 0.275)
Co (0.250, 0.000, 0.681)
Co (0.250, 0.000, 0.766)
Co (0.250, 0.000, 0.851)
Co (0.250, 0.000, 0.936)
Co (0.250, 0.500, 0.064)
Co (0.250, 0.500, 0.149)
Co (0.250, 0.500, 0.234)
Co (0.250, 0.500, 0.725)
Co (0.250, 0.500, 0.809)
Co (0.250, 0.500, 0.894)
Co (0.250, 0.500, 0.979)
Co (0.750, 0.000, 0.064)
Co (0.750, 0.000, 0.149)
Co (0.750, 0.000, 0.234)
Co (0.750, 0.000, 0.319)
Co (0.750, 0.000, 0.725)
Co (0.750, 0.000, 0.809)
Co (0.750, 0.000, 0.894)
Co (0.750, 0.000, 0.979)
Co (0.750, 0.500, 0.021)
Co (0.750, 0.500, 0.106)
Co (0.750, 0.500, 0.191)
Co (0.750, 0.500, 0.275)
Co (0.750, 0.500, 0.766)
Co (0.750, 0.500, 0.851)
Co (0.750, 0.500, 0.936)
As (0.250, 0.500, 0.320)
As (0.750, 0.500, 0.680)

Principal peaks in the range 2θ from 10° to 90°, by intensity:
2θ (°)	d_spacing	I (rel.)
45.23	2.005	100
43.92	2.062	44
52.42	1.745	44
78.04	1.224	13
76.11	1.251	13
77.30	1.234	13
50.95	1.792	12
53.33	1.718	11
10.73	8.245	11
42.69	2.118	4